Entry 1:
Theoretical powder diffraction line list of PmGa9Co2 for Cu Kα X-rays, from a crystal structure in Alexandria, relaxed with GGA-PBE.

Structural model:
```
data_PmGa9Co2
_chemical_formula_sum 'Pm1 Ga9 Co2'
_space_group_name_H-M_alt 'P 6/m m m'
_space_group_IT_number 191
_space_group_name_Hall '-P 6 2'
_cell_length_a 7.9386
_cell_length_b 7.9386
_cell_length_c 3.7655
_cell_angle_alpha 90.00
_cell_angle_beta 90.00
_cell_angle_gamma 120.00
loop_
_atom_site_label
_atom_site_type_symbol
_atom_site_fract_x
_atom_site_fract_y
_atom_site_fract_z
Pm1 Pm 0.0000 0.0000 0.0000
Ga1 Ga 0.0000 0.5000 0.0000
Ga2 Ga 0.2045 0.4091 0.5000
Co1 Co 0.3333 0.6667 0.0000
```

Most intense lines, 10° ≤ 2θ ≤ 90°, sorted by position:
- 22.40°, 3.969 Å, I = 10, hkl 1 1 0
- 32.78°, 2.732 Å, I = 38, hkl 1 1 1
- 34.52°, 2.599 Å, I = 30, hkl 2 1 0
- 35.36°, 2.539 Å, I = 100, hkl 2 0 1
- 42.26°, 2.139 Å, I = 28, hkl 2 1 1
- 45.71°, 1.985 Å, I = 46, hkl 2 2 0
- 46.38°, 1.958 Å, I = 30, hkl 3 0 1
- 48.34°, 1.883 Å, I = 24, hkl 0 0 2
- 52.09°, 1.756 Å, I = 12, hkl 2 2 1
- 60.75°, 1.525 Å, I = 12, hkl 2 1 2
- 68.72°, 1.366 Å, I = 26, hkl 2 2 2
- 77.76°, 1.228 Å, I = 12, hkl 4 2 1

Entry 2:
Theoretical powder diffraction line list of Dy3AgHg5 for Cu Kα X-rays, from a crystal structure in Alexandria, relaxed with GGA-PBE.

Structural model:
```
data_Dy3AgHg5
_chemical_formula_sum 'Dy6 Ag2 Hg10'
_space_group_name_H-M_alt 'P 63/m c m'
_space_group_IT_number 193
_space_group_name_Hall '-P 6c 2'
_cell_length_a 8.9442
_cell_length_b 8.9442
_cell_length_c 6.2383
_cell_angle_alpha 90.00
_cell_angle_beta 90.00
_cell_angle_gamma 120.00
loop_
_atom_site_label
_atom_site_type_symbol
_atom_site_fract_x
_atom_site_fract_y
_atom_site_fract_z
Dy1 Dy 0.0000 0.3498 0.2500
Ag1 Ag 0.0000 0.0000 0.0000
Hg1 Hg 0.0000 0.3114 0.7500
Hg2 Hg 0.3333 0.6667 0.0000
```

Most intense lines, 10° ≤ 2θ ≤ 90°, sorted by position:
- 28.62°, 3.119 Å, I = 7, hkl 0 0 2
- 33.82°, 2.650 Å, I = 7, hkl 2 1 1
- 34.74°, 2.582 Å, I = 100, hkl 3 0 0
- 35.08°, 2.558 Å, I = 89, hkl 1 1 2
- 45.61°, 1.989 Å, I = 11, hkl 3 0 2
- 50.20°, 1.817 Å, I = 31, hkl 2 2 2
- 59.25°, 1.560 Å, I = 8, hkl 0 0 4
- 62.28°, 1.491 Å, I = 16, hkl 3 3 0
- 62.50°, 1.486 Å, I = 31, hkl 4 1 2
- 70.55°, 1.335 Å, I = 26, hkl 3 0 4
- 73.33°, 1.291 Å, I = 10, hkl 6 0 0
- 83.96°, 1.153 Å, I = 13, hkl 5 2 2

Entry 3:
Theoretical powder diffraction line list of GaHg2IF for Cu Kα X-rays, from a crystal structure in Alexandria, relaxed with GGA-PBE.

Structural model:
```
data_GaHg2IF
_chemical_formula_sum 'Ga1 Hg2 I1 F1'
_space_group_name_H-M_alt 'P 4/m m m'
_space_group_IT_number 123
_space_group_name_Hall '-P 4 2'
_cell_length_a 5.557
_cell_length_b 5.557
_cell_length_c 4.223
_cell_angle_alpha 90.00
_cell_angle_beta 90.00
_cell_angle_gamma 90.00
loop_
_atom_site_label
_atom_site_type_symbol
_atom_site_fract_x
_atom_site_fract_y
_atom_site_fract_z
Ga1 Ga 0.000 0.000 0.000
Hg1 Hg 0.000 0.500 0.000
I1 I 0.500 0.500 0.500
F1 F 0.000 0.000 0.500
```

Most intense lines, 10° ≤ 2θ ≤ 90°, sorted by position:
- 21.04°, 4.223 Å, I = 31, hkl 0 0 1
- 22.63°, 3.929 Å, I = 15, hkl 1 1 0
- 26.51°, 3.362 Å, I = 22, hkl 1 0 1
- 31.09°, 2.877 Å, I = 100, hkl 1 1 1
- 32.22°, 2.778 Å, I = 78, hkl 2 0 0
- 38.80°, 2.321 Å, I = 27, hkl 2 0 1
- 42.83°, 2.112 Å, I = 18, hkl 0 0 2
- 46.21°, 1.965 Å, I = 29, hkl 2 2 0
- 54.59°, 1.681 Å, I = 35, hkl 2 0 2
- 56.74°, 1.622 Å, I = 37, hkl 3 1 1
- 64.82°, 1.438 Å, I = 21, hkl 2 2 2
- 76.70°, 1.243 Å, I = 13, hkl 4 2 0

Entry 4:
Theoretical powder diffraction line list of KCdSnI5 for Cu Kα X-rays, from a crystal structure in Alexandria, relaxed with GGA-PBE.

Structural model:
```
data_KCdSnI5
_chemical_formula_sum 'K4 Cd4 Sn4 I20'
_space_group_name_H-M_alt 'C 1 2/c 1'
_space_group_IT_number 15
_cell_length_a 10.467
_cell_length_b 13.737
_cell_length_c 11.537
_cell_angle_alpha 90.00
_cell_angle_beta 114.06
_cell_angle_gamma 90.00
loop_
_space_group_symop_operation_xyz
'x,y,z'
'-x,-y,-z'
'-x,y,-z+1/2'
'x,-y,z+1/2'
'x+1/2,y+1/2,z'
'-x+1/2,-y+1/2,-z'
'-x+1/2,y+1/2,-z+1/2'
'x+1/2,-y+1/2,z+1/2'
loop_
_atom_site_label
_atom_site_type_symbol
_atom_site_fract_x
_atom_site_fract_y
_atom_site_fract_z
K1 K 0.000 0.152 0.250
Cd1 Cd 0.000 0.181 0.750
Sn1 Sn 0.000 0.500 0.000
I1 I 0.000 0.410 0.250
I2 I 0.129 0.291 0.620
I3 I 0.180 0.057 0.946
```

Most intense lines, 10° ≤ 2θ ≤ 90°, sorted by position:
- 16.19°, 5.476 Å, I = 35, hkl 1 1 1
- 16.84°, 5.264 Å, I = 35, hkl 1 1 -2
- 21.26°, 4.180 Å, I = 46, hkl 0 2 2
- 21.36°, 4.160 Å, I = 63, hkl 2 2 -1
- 23.30°, 3.818 Å, I = 40, hkl 2 2 -2
- 24.05°, 3.700 Å, I = 40, hkl 1 1 -3
- 24.50°, 3.633 Å, I = 100, hkl 1 3 1
- 28.77°, 3.104 Å, I = 29, hkl 3 1 0
- 34.29°, 2.615 Å, I = 42, hkl 3 3 0
- 36.30°, 2.475 Å, I = 39, hkl 1 5 -2
- 36.57°, 2.457 Å, I = 35, hkl 0 4 3
- 39.24°, 2.296 Å, I = 43, hkl 4 0 -4